[1]
Calculated powder XRD pattern of YVO3 for Cu Kα (weighted mean of Kα1 and Kα2), from a cell relaxed with PBE+U.

Crystal structure
Cell lengths 6.147, 6.147, 12.057 Å; angles 90.00, 90.00, 120.00 degrees
Atoms (fractional coordinates):
Y 0.000 0.000 0.000
Y 0.000 0.000 0.500
Y 0.333 0.667 0.456
Y 0.333 0.667 0.956
Y 0.667 0.333 0.456
Y 0.667 0.333 0.956
V 0.000 0.336 0.224
V 0.000 0.664 0.724
V 0.336 0.000 0.224
V 0.336 0.336 0.724
V 0.664 0.000 0.724
V 0.664 0.664 0.224
O 0.000 0.000 0.209
O 0.000 0.000 0.709
O 0.000 0.307 0.394
O 0.000 0.360 0.066
O 0.000 0.640 0.566
O 0.000 0.693 0.894
O 0.307 0.000 0.394
O 0.307 0.307 0.894
O 0.333 0.667 0.252
O 0.333 0.667 0.752
O 0.360 0.000 0.066
O 0.360 0.360 0.566
O 0.640 0.000 0.566
O 0.640 0.640 0.066
O 0.667 0.333 0.252
O 0.667 0.333 0.752
O 0.693 0.000 0.894
O 0.693 0.693 0.394

Top 10 peaks for 2θ = 10–80°, in order of rising 2θ:
Position (°2θ)  intensity
14.69  19.7
29.05  37.6
29.64  42.8
30.01  55.1
32.71  100.0
41.98  35.1
51.50  54.9
54.57  25.1
60.55  31.4
62.36  16.2

=====

[2]
Calculated powder XRD pattern of YVO2 for Cu Kα (weighted mean of Kα1 and Kα2), from a cell relaxed with PBE+U.

Crystal structure
Cell lengths 7.310, 7.310, 7.310 Å; angles 129.81, 129.81, 73.70 degrees
Atoms (fractional coordinates):
Y 0.000 0.000 0.000
Y 0.000 0.000 0.500
Y 0.000 0.500 0.000
Y 0.500 0.000 0.500
V 0.000 0.500 0.500
V 0.500 0.000 0.000
V 0.500 0.500 0.000
V 0.500 0.500 0.500
O 0.201 0.218 0.517
O 0.201 0.684 0.983
O 0.218 0.201 0.017
O 0.316 0.799 0.517
O 0.684 0.201 0.483
O 0.782 0.799 0.983
O 0.799 0.316 0.017
O 0.799 0.782 0.483

Top 10 peaks for 2θ = 10–80°, in order of rising 2θ:
Position (°2θ)  intensity
16.18  24.1
30.57  54.2
32.69  100.0
33.21  10.7
41.19  64.5
52.15  43.8
55.69  34.8
59.66  19.3
68.52  18.1
69.71  22.6

=====

Repeat the first record exactly.
Calculated powder XRD pattern of YVO3 for Cu Kα (weighted mean of Kα1 and Kα2), from a cell relaxed with PBE+U.

Crystal structure
Cell lengths 6.147, 6.147, 12.057 Å; angles 90.00, 90.00, 120.00 degrees
Atoms (fractional coordinates):
Y 0.000 0.000 0.000
Y 0.000 0.000 0.500
Y 0.333 0.667 0.456
Y 0.333 0.667 0.956
Y 0.667 0.333 0.456
Y 0.667 0.333 0.956
V 0.000 0.336 0.224
V 0.000 0.664 0.724
V 0.336 0.000 0.224
V 0.336 0.336 0.724
V 0.664 0.000 0.724
V 0.664 0.664 0.224
O 0.000 0.000 0.209
O 0.000 0.000 0.709
O 0.000 0.307 0.394
O 0.000 0.360 0.066
O 0.000 0.640 0.566
O 0.000 0.693 0.894
O 0.307 0.000 0.394
O 0.307 0.307 0.894
O 0.333 0.667 0.252
O 0.333 0.667 0.752
O 0.360 0.000 0.066
O 0.360 0.360 0.566
O 0.640 0.000 0.566
O 0.640 0.640 0.066
O 0.667 0.333 0.252
O 0.667 0.333 0.752
O 0.693 0.000 0.894
O 0.693 0.693 0.394

Top 10 peaks for 2θ = 10–80°, in order of rising 2θ:
Position (°2θ)  intensity
14.69  19.7
29.05  37.6
29.64  42.8
30.01  55.1
32.71  100.0
41.98  35.1
51.50  54.9
54.57  25.1
60.55  31.4
62.36  16.2